1.
For LiPm2ScO5, a cell relaxed with PBE gives the computed PXRD pattern in this record (λ = 1.5418 Å (Cu Kα)).
Kinematic intensities with the Lorentz-polarization factor, no thermal factor.

Structural model:
Cell: 3.318 13.430 9.868 Å, 90.00 90.00 90.00°
Space group Cmc2_1 (No. 36)
Unique sites:
Li1 0.000 0.022 0.000
Pm1 0.000 0.373 0.823
Pm2 0.000 0.392 0.208
Sc1 0.000 0.302 0.527
O1 0.000 0.001 0.304
O2 0.000 0.140 0.524
O3 0.000 0.194 0.887
O4 0.000 0.214 0.177
O5 0.000 0.446 0.580

Principal peaks in the range 5 to 70 degrees two-theta, in order of rising 2θ:
hkl, 2θ/deg, d [Å], I_rel
0 0 2, 18.0, 4.934, 71
0 4 0, 26.5, 3.358, 64
1 1 0, 27.7, 3.221, 79
0 2 3, 30.3, 2.954, 100
1 1 3, 39.1, 2.302, 100
1 5 2, 47.3, 1.923, 51

2.
For LiPmTe2O6, a cell relaxed with PBE gives the computed PXRD pattern in this record (λ = 1.5418 Å (Cu Kα)).
Kinematic intensities with the Lorentz-polarization factor, no thermal factor.

Structural model:
Cell: 11.132 9.596 6.603 Å, 90.00 114.55 90.00°
Space group C2/c (No. 15)
Unique sites:
Li1 0.000 0.144 0.250
Pm1 0.000 0.208 0.750
Te1 0.236 0.406 0.337
O1 0.132 0.011 0.754
O2 0.134 0.238 0.528
O3 0.138 0.319 0.059

Principal peaks in the range 5 to 70 degrees two-theta, in order of rising 2θ:
hkl, 2θ/deg, d [Å], I_rel
1 1 1, 22.1, 4.016, 60
0 2 1, 23.7, 3.749, 100
2 2 0, 25.6, 3.480, 69
3 1 -1, 26.0, 3.422, 56
1 3 -1, 31.2, 2.868, 33
2 4 0, 41.7, 2.167, 29

3.
For Li3Pr2O4, a cell relaxed with PBE gives the computed PXRD pattern in this record (λ = 1.5418 Å (Cu Kα)).
Kinematic intensities with the Lorentz-polarization factor, no thermal factor.

Structural model:
Cell: 6.845 12.125 7.072 Å, 90.00 90.00 90.00°
Space group Cmce (No. 64)
Unique sites:
Li1 0.000 0.000 0.000
Li2 0.250 0.099 0.250
Pr1 0.000 0.165 0.631
O1 0.000 0.173 0.298
O2 0.250 0.059 0.750

Principal peaks in the range 5 to 70 degrees two-theta, in order of rising 2θ:
hkl, 2θ/deg, d [Å], I_rel
0 2 0, 14.6, 6.062, 33
0 2 1, 19.3, 4.603, 69
1 1 1, 19.5, 4.558, 46
2 0 0, 26.0, 3.422, 46
1 3 1, 28.6, 3.123, 80
1 1 2, 29.4, 3.040, 100

4.
For LiPr2O3, a cell relaxed with PBE gives the computed PXRD pattern in this record (λ = 1.5418 Å (Cu Kα)).
Kinematic intensities with the Lorentz-polarization factor, no thermal factor.

Structural model:
Cell: 3.441 3.741 13.060 Å, 90.00 90.00 90.00°
Space group Immm (No. 71)
Unique sites:
Li1 0.000 0.000 0.000
Pr1 0.000 0.000 0.360
O1 0.000 0.000 0.172
O2 0.000 0.500 0.000

Principal peaks in the range 5 to 70 degrees two-theta, in order of rising 2θ:
hkl, 2θ/deg, d [Å], I_rel
0 1 1, 24.8, 3.596, 85
0 0 4, 27.3, 3.265, 69
0 1 3, 31.5, 2.837, 60
1 0 3, 33.2, 2.700, 72
1 1 0, 35.4, 2.533, 100
1 1 4, 45.3, 2.001, 87

5.
For Rb2Li14Pr3O14, a cell relaxed with PBE gives the computed PXRD pattern in this record (λ = 1.5418 Å (Cu Kα)).
Kinematic intensities with the Lorentz-polarization factor, no thermal factor.

Structural model:
Cell: 7.490 8.380 13.697 Å, 90.00 90.00 90.00°
Space group Immm (No. 71)
Unique sites:
Rb1 0.238 0.000 0.000
Li1 0.000 0.146 0.231
Li2 0.000 0.159 0.500
Li3 0.222 0.154 0.367
Pr1 0.000 0.500 0.000
Pr2 0.000 0.500 0.272
O1 0.000 0.278 0.376
O2 0.000 0.310 0.132
O3 0.194 0.000 0.500
O4 0.195 0.000 0.259

Principal peaks in the range 5 to 70 degrees two-theta, in order of rising 2θ:
hkl, 2θ/deg, d [Å], I_rel
1 1 0, 15.9, 5.585, 100
0 2 0, 21.2, 4.190, 53
0 0 4, 26.0, 3.424, 27
2 1 3, 32.7, 2.737, 42
0 2 4, 33.8, 2.651, 62
3 3 4, 56.2, 1.636, 26